[1]
Structure and computed X-ray powder pattern of Ba2Li9Ca (a DFT-relaxed cell (PBE, Alexandria); a wavelength of 1.5418 Å).
Neutral-atom scattering factors, no anomalous dispersion.

The 12 most intense peaks (2θ from 10° to 90°), low angle first:
two_theta	I_rel
16.19	49
16.78	36
18.43	30
20.91	45
27.43	100
28.23	65
29.61	38
33.44	31
35.15	26
39.77	28
49.49	38
54.56	17

Crystal structure
Unit cell a=6.322 b=6.322 c=20.204 alpha=90.00 beta=90.00 gamma=120.00
Fractional coordinates of all 24 atoms:
Ba 0.333 0.667 0.043
Ba 0.333 0.667 0.457
Ba 0.667 0.333 0.543
Ba 0.667 0.333 0.957
Li 0.000 0.000 0.000
Li 0.000 0.000 0.250
Li 0.000 0.000 0.500
Li 0.000 0.000 0.750
Li 0.167 0.333 0.635
Li 0.167 0.333 0.865
Li 0.167 0.833 0.635
Li 0.167 0.833 0.865
Li 0.333 0.167 0.135
Li 0.333 0.167 0.365
Li 0.333 0.667 0.750
Li 0.667 0.333 0.250
Li 0.667 0.833 0.635
Li 0.667 0.833 0.865
Li 0.833 0.167 0.135
Li 0.833 0.167 0.365
Li 0.833 0.667 0.135
Li 0.833 0.667 0.365
Ca 0.333 0.667 0.250
Ca 0.667 0.333 0.750

=====

[2]
Structure and computed X-ray powder pattern of Ba2Li3CaSb4 (a DFT-relaxed cell (PBE, Alexandria); a wavelength of 1.5418 Å).
Neutral-atom scattering factors, no anomalous dispersion.

The 12 most intense peaks (2θ from 10° to 90°), low angle first:
two_theta	I_rel
21.67	15
23.28	39
26.86	29
28.44	30
29.71	100
36.88	46
41.09	23
44.08	16
53.14	16
56.38	18
62.07	24
83.40	16

Crystal structure
Unit cell a=4.875 b=4.875 c=12.304 alpha=90.00 beta=90.00 gamma=90.00
Fractional coordinates of all 10 atoms:
Ba 0.000 0.500 0.230
Ba 0.500 0.000 0.770
Li 0.000 0.500 0.876
Li 0.500 0.000 0.124
Li 0.500 0.500 0.500
Ca 0.000 0.000 0.500
Sb 0.000 0.000 0.000
Sb 0.000 0.500 0.652
Sb 0.500 0.000 0.348
Sb 0.500 0.500 0.000

=====

[3]
Structure and computed X-ray powder pattern of Ba3Li2Ca2Tl4 (a DFT-relaxed cell (PBE, Alexandria); a wavelength of 1.5418 Å).
Neutral-atom scattering factors, no anomalous dispersion.

The 12 most intense peaks (2θ from 10° to 90°), low angle first:
two_theta	I_rel
12.10	15
21.97	100
30.61	89
31.92	93
39.09	23
41.45	19
44.81	32
51.33	22
56.07	32
56.89	18
66.75	14
73.02	15

Crystal structure
Unit cell a=5.607 b=5.607 c=14.624 alpha=90.00 beta=90.00 gamma=120.00
Fractional coordinates of all 11 atoms:
Ba 0.000 0.000 0.000
Ba 0.000 0.000 0.268
Ba 0.000 0.000 0.732
Li 0.333 0.667 0.148
Li 0.667 0.333 0.852
Ca 0.333 0.667 0.577
Ca 0.667 0.333 0.423
Tl 0.333 0.667 0.356
Tl 0.333 0.667 0.851
Tl 0.667 0.333 0.149
Tl 0.667 0.333 0.644

=====

[4]
Structure and computed X-ray powder pattern of BaCa10Mg2 (a DFT-relaxed cell (PBE, Alexandria); a wavelength of 1.5418 Å).
Neutral-atom scattering factors, no anomalous dispersion.

The 12 most intense peaks (2θ from 10° to 90°), low angle first:
two_theta	I_rel
20.26	20
20.52	14
22.85	18
24.98	50
25.30	21
28.61	55
28.80	46
29.17	100
46.68	16
51.26	20
51.61	13
60.49	17

Crystal structure
Unit cell a=12.403 b=9.554 c=9.346 alpha=82.02 beta=49.71 gamma=48.27
Fractional coordinates of all 13 atoms:
Ba 0.000 0.000 0.000
Ca 0.000 0.000 0.500
Ca 0.013 0.351 0.649
Ca 0.281 0.489 0.511
Ca 0.351 0.013 0.987
Ca 0.489 0.281 0.719
Ca 0.500 0.500 0.000
Ca 0.511 0.719 0.281
Ca 0.649 0.987 0.013
Ca 0.719 0.511 0.489
Ca 0.987 0.649 0.351
Mg 0.000 0.500 0.000
Mg 0.500 0.000 0.500

=====

[5]
Structure and computed X-ray powder pattern of Ba2Ca5Mg (a DFT-relaxed cell (PBE, Alexandria); a wavelength of 1.5418 Å).
Neutral-atom scattering factors, no anomalous dispersion.

The 12 most intense peaks (2θ from 10° to 90°), low angle first:
two_theta	I_rel
15.27	31
20.99	52
26.05	100
28.85	24
30.82	40
37.58	22
42.72	31
44.15	15
49.43	22
51.98	26
53.59	15
68.41	14

Crystal structure
Unit cell a=8.207 b=8.207 c=6.189 alpha=90.00 beta=90.00 gamma=90.00
Fractional coordinates of all 8 atoms:
Ba 0.000 0.500 0.000
Ba 0.500 0.000 0.000
Ca 0.000 0.000 0.000
Ca 0.268 0.268 0.500
Ca 0.268 0.732 0.500
Ca 0.732 0.268 0.500
Ca 0.732 0.732 0.500
Mg 0.000 0.000 0.500

=====

[6]
Structure and computed X-ray powder pattern of Ba5CaMg3 (a DFT-relaxed cell (PBE, Alexandria); a wavelength of 1.5418 Å).
Neutral-atom scattering factors, no anomalous dispersion.

The 12 most intense peaks (2θ from 10° to 90°), low angle first:
two_theta	I_rel
19.66	29
27.95	100
34.40	7
38.17	5
39.94	19
44.89	7
49.44	30
55.09	15
57.75	6
65.35	9
70.18	7
79.41	10

Crystal structure
Unit cell a=11.061 b=11.061 c=7.819 alpha=90.00 beta=90.00 gamma=120.00
Fractional coordinates of all 18 atoms:
Ba 0.000 0.325 0.250
Ba 0.000 0.675 0.750
Ba 0.325 0.000 0.250
Ba 0.325 0.325 0.750
Ba 0.333 0.667 0.000
Ba 0.333 0.667 0.500
Ba 0.667 0.333 0.000
Ba 0.667 0.333 0.500
Ba 0.675 0.000 0.750
Ba 0.675 0.675 0.250
Ca 0.000 0.000 0.000
Ca 0.000 0.000 0.500
Mg 0.000 0.333 0.750
Mg 0.000 0.667 0.250
Mg 0.333 0.000 0.750
Mg 0.333 0.333 0.250
Mg 0.667 0.000 0.250
Mg 0.667 0.667 0.750